1.
Simulated X-ray powder pattern of AlPbF5 for Cu Kα (λ = 1.5418 Å), from a DFT-relaxed cell (PBE, the Materials Project).
No peak broadening, texture or thermal motion is included.

Structural model:
```
data_AlPbF5
_chemical_formula_sum 'Al8 Pb8 F40'
_space_group_name_H-M_alt 'P 1'
_space_group_IT_number 1
_space_group_name_Hall 'P 1'
_cell_length_a 10.8681
_cell_length_b 10.8681
_cell_length_c 10.8681
_cell_angle_alpha 96.40
_cell_angle_beta 96.40
_cell_angle_gamma 140.98
loop_
_atom_site_label
_atom_site_type_symbol
_atom_site_fract_x
_atom_site_fract_y
_atom_site_fract_z
Al1 Al 0.0000 0.0000 0.0000
Al2 Al 0.0739 0.9186 0.5161
Al3 Al 0.2443 0.7443 0.5000
Al4 Al 0.4025 0.5578 0.4839
Al5 Al 0.4957 0.4957 0.0000
Al6 Al 0.5578 0.0739 0.1553
Al7 Al 0.7443 0.2443 0.5000
Al8 Al 0.9186 0.4025 0.8447
Pb1 Pb 0.1638 0.4781 0.1692
Pb2 Pb 0.3089 0.9946 0.8308
Pb3 Pb 0.4781 0.3089 0.3143
Pb4 Pb 0.5083 0.7862 0.8281
Pb5 Pb 0.6802 0.5083 0.7221
Pb6 Pb 0.7862 0.9581 0.2779
Pb7 Pb 0.9581 0.6802 0.1719
Pb8 Pb 0.9946 0.1638 0.6857
F1 F 0.0196 0.6262 0.8158
F2 F 0.0397 0.8778 0.9284
F3 F 0.1113 0.0397 0.1619
F4 F 0.1334 0.6772 0.3262
F5 F 0.1613 0.5134 0.8591
F6 F 0.1681 0.3134 0.3582
F7 F 0.1901 0.8564 0.5560
F8 F 0.2038 0.0196 0.3934
F9 F 0.2487 0.2487 0.0000
F10 F 0.2821 0.4745 0.6122
F11 F 0.3004 0.6341 0.4440
F12 F 0.3022 0.1613 0.6479
F13 F 0.3134 0.9553 0.1454
F14 F 0.3510 0.8072 0.6738
F15 F 0.3878 0.4537 0.8361
F16 F 0.4537 0.6176 0.0659
F17 F 0.4745 0.8623 0.1924
F18 F 0.4794 0.9689 0.9799
F19 F 0.4939 0.9939 0.5000
F20 F 0.4995 0.4794 0.5104
F21 F 0.5134 0.6542 0.3521
F22 F 0.5517 0.3878 0.9341
F23 F 0.6176 0.5517 0.1639
F24 F 0.6262 0.8105 0.6066
F25 F 0.6341 0.1901 0.3337
F26 F 0.6542 0.3022 0.1409
F27 F 0.6700 0.2821 0.8076
F28 F 0.6772 0.3510 0.5437
F29 F 0.7485 0.7485 0.0000
F30 F 0.8072 0.1334 0.4563
F31 F 0.8099 0.1681 0.8546
F32 F 0.8105 0.2038 0.1842
F33 F 0.8564 0.3004 0.6663
F34 F 0.8623 0.6700 0.3878
F35 F 0.8778 0.9494 0.8381
F36 F 0.9494 0.1113 0.0716
F37 F 0.9553 0.8099 0.6418
F38 F 0.9689 0.9891 0.4896
F39 F 0.9891 0.4995 0.0201
F40 F 0.9939 0.4939 0.5000
```

Principal peaks in the range 2θ from 10° to 90°, by intensity:
two_theta  I_rel
28.22  1000
24.54  787
25.33  662
17.31  593
43.70  585
30.18  415
18.35  384
27.53  352
41.82  341
45.51  321
37.23  310
45.11  260

2.
Simulated X-ray powder pattern of CdNCl3 for Cu Kα (λ = 1.5418 Å), from a DFT-relaxed cell (PBE, the Materials Project).
No peak broadening, texture or thermal motion is included.

Structural model:
```
data_CdNCl3
_chemical_formula_sum 'Cd2 N2 Cl6'
_space_group_name_H-M_alt 'P 1'
_space_group_IT_number 1
_space_group_name_Hall 'P 1'
_cell_length_a 5.8737
_cell_length_b 7.4292
_cell_length_c 7.7029
_cell_angle_alpha 90.00
_cell_angle_beta 107.29
_cell_angle_gamma 90.00
loop_
_atom_site_label
_atom_site_type_symbol
_atom_site_fract_x
_atom_site_fract_y
_atom_site_fract_z
Cd1 Cd 0.0000 0.0000 0.0000
Cd2 Cd 0.0000 0.5000 0.0000
N1 N 0.3789 0.2500 0.7072
N2 N 0.6211 0.7500 0.2928
Cl1 Cl 0.1053 0.2500 0.7561
Cl2 Cl 0.1405 0.2500 0.2320
Cl3 Cl 0.3901 0.7500 0.0835
Cl4 Cl 0.6099 0.2500 0.9165
Cl5 Cl 0.8595 0.7500 0.7680
Cl6 Cl 0.8947 0.7500 0.2439
```

Principal peaks in the range 2θ from 10° to 90°, by intensity:
two_theta  I_rel
12.03  1000
15.80  401
34.31  230
16.79  226
41.07  179
29.40  169
33.18  155
34.67  139
28.83  117
27.50  112
26.89  89
41.99  85